(1)
# RbLuZnTe2S
Theoretical PXRD pattern, Cu Kα, 1.54184 Å. Input: a GGA-PBE-relaxed structure.

Top 12 peaks for 5° ≤ 2θ ≤ 70°, in order of rising 2θ:
d (Å)	2θ/deg	I_rel
8.010	11.05	76.2
5.416	16.37	37.7
4.487	19.79	32.5
3.311	26.93	100.0
3.292	27.09	30.5
3.167	28.18	50.7
2.825	31.67	99.8
2.706	33.10	77.4
2.309	39.02	70.5
2.110	42.85	38.3
2.096	43.15	23.4
1.813	50.33	23.3

abc: 8.2835 8.2835 10.8325
angles: 90.00 90.00 150.48
Sites, in units of the cell vectors:
Rb: 0.2273 0.7727 0.7500
Rb: 0.7727 0.2273 0.2500
Lu: 0.5000 0.5000 0.0000
Lu: 0.5000 0.5000 0.5000
Zn: 0.0383 0.9617 0.2500
Zn: 0.9617 0.0383 0.7500
Te: 0.1308 0.8692 0.0493
Te: 0.1308 0.8692 0.4507
Te: 0.8692 0.1308 0.5493
Te: 0.8692 0.1308 0.9507
S: 0.4577 0.5423 0.2500
S: 0.5423 0.4577 0.7500



(2)
# RbLuSe2
Theoretical PXRD pattern, Cu Kα, 1.54184 Å. Input: a GGA-PBE-relaxed structure.

Top 12 peaks for 5° ≤ 2θ ≤ 70°, in order of rising 2θ:
d (Å)	2θ/deg	I_rel
6.405	13.83	100.0
6.148	14.41	74.0
3.630	24.52	54.0
3.597	24.75	59.9
3.129	28.53	77.3
2.791	32.07	26.8
2.638	33.98	52.9
2.486	36.13	43.0
2.135	42.34	25.3
2.024	44.77	43.8
2.002	45.30	29.3
1.923	47.28	23.1

abc: 14.4035 12.7692 8.2569
angles: 83.53 61.75 34.72
Sites, in units of the cell vectors:
Rb: 0.0559 0.0559 0.6941
Rb: 0.3059 0.3059 0.9441
Rb: 0.6941 0.6941 0.0559
Rb: 0.9441 0.9441 0.3059
Lu: 0.1250 0.1250 0.1250
Lu: 0.3750 0.3750 0.3750
Lu: 0.6250 0.6250 0.6250
Lu: 0.8750 0.8750 0.8750
Se: 0.0351 0.3236 0.4209
Se: 0.2797 0.5791 0.6764
Se: 0.3236 0.0351 0.7203
Se: 0.4209 0.7203 0.0351
Se: 0.5791 0.2797 0.9649
Se: 0.6764 0.9649 0.2797
Se: 0.7203 0.4209 0.3236
Se: 0.9649 0.6764 0.5791



(3)
# Lu2ScRe
Theoretical PXRD pattern, Cu Kα, 1.54184 Å. Input: a GGA-PBE-relaxed structure.

Top 10 peaks for 5° ≤ 2θ ≤ 70°, in order of rising 2θ:
d (Å)	2θ/deg	I_rel
4.036	22.02	11.6
3.495	25.48	7.1
2.472	36.35	100.0
2.108	42.91	6.5
2.018	44.92	2.2
1.748	52.35	17.7
1.604	57.46	2.9
1.563	59.10	3.1
1.427	65.40	36.1
1.345	69.92	2.2

abc: 6.9906 6.9906 6.9906
angles: 90.00 90.00 90.00
Sites, in units of the cell vectors:
Lu: 0.0000 0.0000 0.0000
Lu: 0.0000 0.5000 0.5000
Lu: 0.2500 0.2500 0.2500
Lu: 0.2500 0.7500 0.7500
Lu: 0.5000 0.0000 0.5000
Lu: 0.5000 0.5000 0.0000
Lu: 0.7500 0.2500 0.7500
Lu: 0.7500 0.7500 0.2500
Sc: 0.2500 0.2500 0.7500
Sc: 0.2500 0.7500 0.2500
Sc: 0.7500 0.2500 0.2500
Sc: 0.7500 0.7500 0.7500
Re: 0.0000 0.0000 0.5000
Re: 0.0000 0.5000 0.0000
Re: 0.5000 0.0000 0.0000
Re: 0.5000 0.5000 0.5000



(4)
# LuZnRe2
Theoretical PXRD pattern, Cu Kα, 1.54184 Å. Input: a GGA-PBE-relaxed structure.

Top 8 peaks for 5° ≤ 2θ ≤ 70°, in order of rising 2θ:
d (Å)	2θ/deg	I_rel
3.703	24.03	8.2
3.207	27.82	3.5
2.267	39.75	100.0
1.934	46.99	4.3
1.851	49.22	1.0
1.603	57.48	17.1
1.471	63.20	1.9
1.434	65.04	1.4

abc: 6.4133 6.4133 6.4133
angles: 90.00 90.00 90.00
Sites, in units of the cell vectors:
Lu: 0.0000 0.0000 0.0000
Lu: 0.0000 0.5000 0.5000
Lu: 0.5000 0.0000 0.5000
Lu: 0.5000 0.5000 0.0000
Zn: 0.2500 0.2500 0.2500
Zn: 0.2500 0.7500 0.7500
Zn: 0.7500 0.2500 0.7500
Zn: 0.7500 0.7500 0.2500
Re: 0.0000 0.0000 0.5000
Re: 0.0000 0.5000 0.0000
Re: 0.2500 0.2500 0.7500
Re: 0.2500 0.7500 0.2500
Re: 0.5000 0.0000 0.0000
Re: 0.5000 0.5000 0.5000
Re: 0.7500 0.2500 0.2500
Re: 0.7500 0.7500 0.7500



(5)
# Lu2S3
Theoretical PXRD pattern, Cu Kα, 1.54184 Å. Input: a GGA-PBE-relaxed structure.

Top 12 peaks for 5° ≤ 2θ ≤ 70°, in order of rising 2θ:
d (Å)	2θ/deg	I_rel
9.206	9.61	18.0
4.928	18.00	27.2
4.603	19.28	21.0
3.614	24.64	66.8
3.368	26.46	100.0
2.718	32.95	29.2
2.464	36.47	31.5
2.268	39.74	85.5
1.989	45.62	29.7
1.945	46.71	46.5
1.756	52.09	16.6
1.476	62.96	21.4

abc: 6.7363 6.7363 18.4129
angles: 90.00 90.00 120.00
Sites, in units of the cell vectors:
Lu: 0.0000 0.0000 0.0000
Lu: 0.0000 0.0000 0.2019
Lu: 0.0000 0.0000 0.5000
Lu: 0.0000 0.0000 0.7019
Lu: 0.3333 0.6667 0.1666
Lu: 0.3333 0.6667 0.3643
Lu: 0.3333 0.6667 0.6666
Lu: 0.3333 0.6667 0.8643
Lu: 0.6667 0.3333 0.1666
Lu: 0.6667 0.3333 0.3643
Lu: 0.6667 0.3333 0.6666
Lu: 0.6667 0.3333 0.8643
S: 0.0000 0.3018 0.1046
S: 0.0000 0.3355 0.4315
S: 0.0000 0.3674 0.7621
S: 0.0000 0.6326 0.2621
S: 0.0000 0.6645 0.9315
S: 0.0000 0.6982 0.6046
S: 0.3018 0.0000 0.1046
S: 0.3018 0.3018 0.6046
S: 0.3355 0.0000 0.4315
S: 0.3355 0.3355 0.9315
S: 0.3674 0.0000 0.7621
S: 0.3674 0.3674 0.2621
S: 0.6326 0.0000 0.2621
S: 0.6326 0.6326 0.7621
S: 0.6645 0.0000 0.9315
S: 0.6645 0.6645 0.4315
S: 0.6982 0.0000 0.6046
S: 0.6982 0.6982 0.1046



(6)
# Lu2S3
Theoretical PXRD pattern, Cu Kα, 1.54184 Å. Input: a GGA-PBE-relaxed structure.

Top 12 peaks for 5° ≤ 2θ ≤ 70°, in order of rising 2θ:
d (Å)	2θ/deg	I_rel
6.075	14.58	83.3
4.903	18.09	18.0
3.715	23.95	32.2
3.149	28.34	44.5
3.130	28.52	43.1
2.724	32.89	100.0
2.710	33.06	49.8
1.935	46.96	18.1
1.921	47.32	70.7
1.637	56.18	21.6
1.575	58.63	20.8
1.565	59.03	17.7

abc: 12.7143 12.1348 6.6595
angles: 79.32 69.70 30.98
Sites, in units of the cell vectors:
Lu: 0.0407 0.0407 0.2093
Lu: 0.1285 0.1285 0.6215
Lu: 0.2093 0.2093 0.0407
Lu: 0.3785 0.3785 0.8715
Lu: 0.6215 0.6215 0.1285
Lu: 0.7907 0.7907 0.9593
Lu: 0.8715 0.8715 0.3785
Lu: 0.9593 0.9593 0.7907
S: 0.0496 0.5399 0.1896
S: 0.1133 0.6367 0.6367
S: 0.1896 0.7209 0.0496
S: 0.2791 0.8104 0.4601
S: 0.3633 0.8867 0.8867
S: 0.4601 0.9504 0.2791
S: 0.5399 0.0496 0.7209
S: 0.6367 0.1133 0.1133
S: 0.7209 0.1896 0.5399
S: 0.8104 0.2791 0.9504
S: 0.8867 0.3633 0.3633
S: 0.9504 0.4601 0.8104



(7)
# Tm5Lu3S
Theoretical PXRD pattern, Cu Kα, 1.54184 Å. Input: a GGA-PBE-relaxed structure.

Top 12 peaks for 5° ≤ 2θ ≤ 70°, in order of rising 2θ:
d (Å)	2θ/deg	I_rel
2.886	30.99	76.2
2.821	31.72	100.0
2.646	33.88	55.0
2.545	35.27	39.4
2.269	39.73	25.1
2.118	42.70	10.6
1.835	49.69	30.5
1.581	58.37	29.6
1.549	59.71	24.1
1.517	61.08	18.7
1.489	62.38	15.1
1.443	64.59	8.3

abc: 8.8162 8.8162 3.6708
angles: 90.00 90.00 120.00
Sites, in units of the cell vectors:
Tm: 0.0000 0.6022 0.0000
Tm: 0.3333 0.6667 0.5000
Tm: 0.3978 0.3978 0.0000
Tm: 0.6022 0.0000 0.0000
Tm: 0.6667 0.3333 0.5000
Lu: 0.0000 0.2465 0.5000
Lu: 0.2465 0.0000 0.5000
Lu: 0.7535 0.7535 0.5000
S: 0.0000 0.0000 0.0000



(8)
# TmLuS3
Theoretical PXRD pattern, Cu Kα, 1.54184 Å. Input: a GGA-PBE-relaxed structure.

Top 12 peaks for 5° ≤ 2θ ≤ 70°, in order of rising 2θ:
d (Å)	2θ/deg	I_rel
3.735	23.82	100.0
3.571	24.94	22.5
3.337	26.71	23.3
3.085	28.94	20.0
2.763	32.40	23.4
2.651	33.82	36.5
2.381	37.78	29.1
2.353	38.25	23.2
2.346	38.36	18.9
1.884	48.31	36.9
1.866	48.79	29.7
1.669	55.03	21.2

abc: 6.4453 6.4453 9.3857
angles: 90.00 90.00 146.36
Sites, in units of the cell vectors:
Tm: 0.2498 0.7502 0.7500
Tm: 0.7502 0.2498 0.2500
Lu: 0.0017 0.0017 0.0000
Lu: 0.9983 0.9983 0.5000
S: 0.0960 0.9040 0.2500
S: 0.3538 0.6441 0.4298
S: 0.3559 0.6462 0.0702
S: 0.6441 0.3538 0.5702
S: 0.6462 0.3559 0.9298
S: 0.9040 0.0960 0.7500